For Li2Zn2P, a crystal structure in Alexandria, relaxed with GGA-PBE gives the calculated powder diffractogram in this record (Cu Kα, 1.54184 Å).
Kinematic intensities with the Lorentz-polarization factor, no thermal factor.

Peak list (10 most intense, 2θ from 10° to 80°, low angle first)
- 21.21°, I = 100
- 31.86°, I = 51
- 38.59°, I = 81
- 43.19°, I = 19
- 45.68°, I = 24
- 50.88°, I = 29
- 54.66°, I = 21
- 57.28°, I = 12
- 64.68°, I = 16
- 76.13°, I = 10

Cell and atoms:
Cell lengths 6.281, 6.281, 4.189 Å; angles 90.00, 90.00, 90.00 degrees
Sites, in units of the cell vectors:
Li 0.169 0.331 0.000
Li 0.331 0.831 0.000
Li 0.669 0.169 0.000
Li 0.831 0.669 0.000
Zn 0.135 0.635 0.500
Zn 0.365 0.135 0.500
Zn 0.635 0.865 0.500
Zn 0.865 0.365 0.500
P 0.000 0.000 0.500
P 0.500 0.500 0.500

=====

For LaNd7, a crystal structure in Alexandria, relaxed with GGA-PBE gives the calculated powder diffractogram in this record (Cu Kα, 1.54184 Å).
Kinematic intensities with the Lorentz-polarization factor, no thermal factor.

Peak list (6 most intense, 2θ from 10° to 80°, low angle first)
- 29.63°, I = 100
- 34.35°, I = 51
- 49.36°, I = 36
- 58.64°, I = 43
- 61.52°, I = 13
- 72.39°, I = 6

Cell and atoms:
Cell lengths 7.385, 7.385, 7.385 Å; angles 60.00, 60.00, 60.00 degrees
Sites, in units of the cell vectors:
La 0.000 0.000 0.000
Nd 0.000 0.000 0.500
Nd 0.000 0.500 0.000
Nd 0.000 0.500 0.500
Nd 0.500 0.000 0.000
Nd 0.500 0.000 0.500
Nd 0.500 0.500 0.000
Nd 0.500 0.500 0.500

=====

For CaPr5Al4, a crystal structure in Alexandria, relaxed with GGA-PBE gives the calculated powder diffractogram in this record (Cu Kα, 1.54184 Å).
Kinematic intensities with the Lorentz-polarization factor, no thermal factor.

Peak list (10 most intense, 2θ from 10° to 80°, low angle first)
- 23.80°, I = 92
- 25.58°, I = 30
- 32.12°, I = 100
- 33.91°, I = 90
- 35.22°, I = 74
- 42.96°, I = 30
- 48.72°, I = 32
- 59.56°, I = 33
- 59.96°, I = 28
- 61.53°, I = 29

Cell and atoms:
Cell lengths 3.738, 3.738, 20.897 Å; angles 90.00, 90.00, 90.00 degrees
Sites, in units of the cell vectors:
Ca 0.000 0.000 0.000
Pr 0.500 0.500 0.140
Pr 0.500 0.500 0.319
Pr 0.500 0.500 0.500
Pr 0.500 0.500 0.681
Pr 0.500 0.500 0.860
Al 0.000 0.000 0.226
Al 0.000 0.000 0.410
Al 0.000 0.000 0.590
Al 0.000 0.000 0.774

=====

For BaMg2Tl3, a crystal structure in Alexandria, relaxed with GGA-PBE gives the calculated powder diffractogram in this record (Cu Kα, 1.54184 Å).
Kinematic intensities with the Lorentz-polarization factor, no thermal factor.

Peak list (10 most intense, 2θ from 10° to 80°, low angle first)
- 11.65°, I = 20
- 23.43°, I = 25
- 27.46°, I = 36
- 27.78°, I = 100
- 28.47°, I = 85
- 37.18°, I = 29
- 38.34°, I = 45
- 40.70°, I = 24
- 49.97°, I = 20
- 53.90°, I = 21

Cell and atoms:
Cell lengths 7.782, 7.782, 6.274 Å; angles 90.00, 90.00, 77.38 degrees
Sites, in units of the cell vectors:
Ba 0.172 0.828 0.750
Ba 0.828 0.172 0.250
Mg 0.282 0.282 0.000
Mg 0.282 0.282 0.500
Mg 0.718 0.718 0.000
Mg 0.718 0.718 0.500
Tl 0.048 0.607 0.250
Tl 0.393 0.952 0.250
Tl 0.465 0.535 0.250
Tl 0.535 0.465 0.750
Tl 0.607 0.048 0.750
Tl 0.952 0.393 0.750

=====

For Sm2PS5, a crystal structure in Alexandria, relaxed with GGA-PBE gives the calculated powder diffractogram in this record (Cu Kα, 1.54184 Å).
Kinematic intensities with the Lorentz-polarization factor, no thermal factor.

Peak list (10 most intense, 2θ from 10° to 80°, low angle first)
- 17.52°, I = 92
- 19.95°, I = 93
- 21.02°, I = 76
- 25.93°, I = 92
- 26.67°, I = 67
- 27.50°, I = 77
- 31.47°, I = 100
- 32.05°, I = 79
- 35.47°, I = 68
- 44.46°, I = 67

Cell and atoms:
Cell lengths 8.634, 10.124, 5.593 Å; angles 90.00, 127.26, 90.00 degrees
Sites, in units of the cell vectors:
Sm 0.000 0.228 0.000
Sm 0.000 0.772 0.000
Sm 0.500 0.272 0.000
Sm 0.500 0.728 0.000
P 0.446 0.000 0.432
P 0.946 0.500 0.432
S 0.151 0.000 0.309
S 0.269 0.500 0.839
S 0.420 0.000 0.031
S 0.421 0.239 0.424
S 0.421 0.761 0.424
S 0.651 0.500 0.309
S 0.769 0.000 0.839
S 0.920 0.500 0.031
S 0.921 0.261 0.424
S 0.921 0.739 0.424

=====

For Ho2ErAg4, a crystal structure in Alexandria, relaxed with GGA-PBE gives the calculated powder diffractogram in this record (Cu Kα, 1.54184 Å).
Kinematic intensities with the Lorentz-polarization factor, no thermal factor.

Peak list (10 most intense, 2θ from 10° to 80°, low angle first)
- 17.66°, I = 17
- 30.84°, I = 9
- 35.76°, I = 100
- 47.89°, I = 4
- 51.32°, I = 6
- 51.53°, I = 12
- 64.15°, I = 12
- 64.29°, I = 23
- 75.70°, I = 7
- 75.86°, I = 4

Cell and atoms:
Cell lengths 7.094, 7.094, 7.121 Å; angles 90.00, 90.00, 90.00 degrees
Sites, in units of the cell vectors:
Ho 0.000 0.500 0.000
Ho 0.000 0.500 0.500
Ho 0.500 0.000 0.000
Ho 0.500 0.000 0.500
Er 0.000 0.000 0.000
Er 0.500 0.500 0.500
Ag 0.250 0.250 0.250
Ag 0.250 0.250 0.750
Ag 0.250 0.750 0.250
Ag 0.250 0.750 0.750
Ag 0.750 0.250 0.250
Ag 0.750 0.250 0.750
Ag 0.750 0.750 0.250
Ag 0.750 0.750 0.750

=====

For Tm2InS5, a crystal structure in Alexandria, relaxed with GGA-PBE gives the calculated powder diffractogram in this record (Cu Kα, 1.54184 Å).
Kinematic intensities with the Lorentz-polarization factor, no thermal factor.

Peak list (10 most intense, 2θ from 10° to 80°, low angle first)
- 13.23°, I = 88
- 17.89°, I = 100
- 25.74°, I = 100
- 26.03°, I = 57
- 28.49°, I = 67
- 33.58°, I = 58
- 34.80°, I = 71
- 42.79°, I = 51
- 43.96°, I = 52
- 49.13°, I = 52

Cell and atoms:
Cell lengths 7.207, 7.207, 12.128 Å; angles 90.00, 90.00, 136.53 degrees
Sites, in units of the cell vectors:
Tm 0.163 0.837 0.568
Tm 0.163 0.837 0.932
Tm 0.837 0.163 0.068
Tm 0.837 0.163 0.432
In 0.180 0.820 0.250
In 0.820 0.180 0.750
S 0.033 0.967 0.102
S 0.033 0.967 0.398
S 0.278 0.722 0.750
S 0.307 0.693 0.084
S 0.307 0.693 0.416
S 0.693 0.307 0.584
S 0.693 0.307 0.916
S 0.722 0.278 0.250
S 0.967 0.033 0.602
S 0.967 0.033 0.898

=====

For ZnCdCu, a crystal structure in Alexandria, relaxed with GGA-PBE gives the calculated powder diffractogram in this record (Cu Kα, 1.54184 Å).
Kinematic intensities with the Lorentz-polarization factor, no thermal factor.

Peak list (10 most intense, 2θ from 10° to 80°, low angle first)
- 31.43°, I = 10
- 32.35°, I = 7
- 39.13°, I = 100
- 43.45°, I = 39
- 49.41°, I = 10
- 55.20°, I = 6
- 63.13°, I = 12
- 67.20°, I = 6
- 67.87°, I = 15
- 76.84°, I = 25

Cell and atoms:
Cell lengths 2.946, 2.946, 11.068 Å; angles 90.00, 90.00, 90.00 degrees
Sites, in units of the cell vectors:
Zn 0.000 0.000 0.000
Zn 0.500 0.500 0.500
Cd 0.000 0.000 0.308
Cd 0.500 0.500 0.808
Cu 0.000 0.000 0.634
Cu 0.500 0.500 0.134

=====

For Tb8PmPr5, a crystal structure in Alexandria, relaxed with GGA-PBE gives the calculated powder diffractogram in this record (Cu Kα, 1.54184 Å).
Kinematic intensities with the Lorentz-polarization factor, no thermal factor.

Peak list (10 most intense, 2θ from 10° to 80°, low angle first)
- 29.64°, I = 38
- 30.84°, I = 100
- 31.00°, I = 48
- 32.17°, I = 45
- 32.55°, I = 43
- 41.05°, I = 15
- 47.37°, I = 19
- 51.04°, I = 13
- 60.88°, I = 29
- 61.63°, I = 14

Cell and atoms:
Cell lengths 8.970, 8.970, 17.013 Å; angles 117.52, 117.52, 23.01 degrees
Sites, in units of the cell vectors:
Tb 0.078 0.078 0.222
Tb 0.146 0.146 0.939
Tb 0.216 0.216 0.646
Tb 0.419 0.419 0.277
Tb 0.581 0.581 0.723
Tb 0.784 0.784 0.354
Tb 0.854 0.854 0.061
Tb 0.922 0.922 0.778
Pm 0.500 0.500 0.000
Pr 0.000 0.000 0.500
Pr 0.287 0.287 0.857
Pr 0.355 0.355 0.560
Pr 0.645 0.645 0.440
Pr 0.713 0.713 0.143

=====

For Pm7ZnCl12, a crystal structure in Alexandria, relaxed with GGA-PBE gives the calculated powder diffractogram in this record (Cu Kα, 1.54184 Å).
Kinematic intensities with the Lorentz-polarization factor, no thermal factor.

Peak list (10 most intense, 2θ from 10° to 80°, low angle first)
- 11.58°, I = 20
- 11.96°, I = 68
- 16.68°, I = 14
- 20.57°, I = 18
- 26.77°, I = 20
- 31.41°, I = 100
- 44.14°, I = 36
- 45.88°, I = 33
- 55.17°, I = 17
- 73.21°, I = 15

Cell and atoms:
Cell lengths 9.113, 9.113, 9.113 Å; angles 108.55, 108.55, 108.55 degrees
Sites, in units of the cell vectors:
Pm 0.000 0.000 0.000
Pm 0.158 0.373 0.458
Pm 0.373 0.458 0.158
Pm 0.458 0.158 0.373
Pm 0.542 0.842 0.627
Pm 0.627 0.542 0.842
Pm 0.842 0.627 0.542
Zn 0.500 0.500 0.500
Cl 0.021 0.335 0.109
Cl 0.109 0.021 0.335
Cl 0.195 0.716 0.580
Cl 0.284 0.420 0.805
Cl 0.335 0.109 0.021
Cl 0.420 0.805 0.284
Cl 0.580 0.195 0.716
Cl 0.665 0.891 0.979
Cl 0.716 0.580 0.195
Cl 0.805 0.284 0.420
Cl 0.891 0.979 0.665
Cl 0.979 0.665 0.891

=====

For Co2NiHRu, a crystal structure in Alexandria, relaxed with GGA-PBE gives the calculated powder diffractogram in this record (Cu Kα, 1.54184 Å).
Kinematic intensities with the Lorentz-polarization factor, no thermal factor.

Peak list (10 most intense, 2θ from 10° to 80°, low angle first)
- 23.76°, I = 2
- 24.41°, I = 4
- 34.32°, I = 3
- 34.79°, I = 2
- 42.56°, I = 100
- 48.62°, I = 17
- 50.02°, I = 31
- 62.07°, I = 1
- 72.33°, I = 19
- 73.44°, I = 9

Cell and atoms:
Cell lengths 3.647, 3.647, 3.746 Å; angles 90.00, 90.00, 90.00 degrees
Sites, in units of the cell vectors:
Co 0.000 0.500 0.000
Co 0.500 0.000 0.000
Ni 0.000 0.000 0.500
H 0.500 0.500 0.000
Ru 0.500 0.500 0.500